Entry 1:
For Hf6Be15Ni8, a crystal structure in the Materials Project, relaxed with GGA-PBE gives the calculated XRD peak list in this record (Cu Ka).
Peak positions follow from Bragg's law for the DFT cell and can differ from measured ones.

Structural model:
```
29
Lattice="0.000 5.475 5.475 5.475 0.000 5.475 5.475 5.475 0.000" Properties=species:S:1:pos:R:3 pbc="T T T"
Hf 5.475 5.475 2.290
Hf 5.475 2.290 5.475
Hf 8.661 5.475 5.475
Hf 2.290 5.475 5.475
Hf 5.475 8.661 5.475
Hf 5.475 5.475 8.661
Be 2.738 2.738 0.000
Be 2.738 0.000 2.738
Be 5.475 2.738 2.738
Be 1.935 1.935 1.935
Be 3.541 3.541 1.935
Be 3.541 1.935 3.541
Be 1.935 3.541 3.541
Be 0.000 2.738 2.738
Be 2.738 5.475 2.738
Be 2.738 2.738 5.475
Be 5.475 5.475 5.475
Be 9.016 7.410 7.410
Be 7.410 9.016 7.410
Be 7.410 7.410 9.016
Be 9.016 9.016 9.016
Ni 6.833 4.118 4.118
Ni 4.118 4.118 4.118
Ni 6.833 6.833 4.118
Ni 6.833 4.118 6.833
Ni 4.118 6.833 4.118
Ni 4.118 4.118 6.833
Ni 6.833 6.833 6.833
Ni 4.118 6.833 6.833
```

The 12 most intense peaks (10° ≤ 2θ ≤ 90°), sorted by position:
2θ (°)	intensity
16.2	46
23.0	19
28.2	100
35.7	66
40.3	29
42.9	78
46.9	78
55.7	19
60.4	21
65.5	21
70.4	29
73.4	18

=====

Entry 2:
For BaBrCl, a crystal structure in the Materials Project, relaxed with GGA-PBE gives the calculated XRD peak list in this record (Cu Ka).
Peak positions follow from Bragg's law for the DFT cell and can differ from measured ones.

Structural model:
```
12
Lattice="8.148 0.000 0.000 0.000 5.062 0.000 0.000 0.000 10.286" Properties=species:S:1:pos:R:3 pbc="T T T"
Ba 1.860 1.266 0.959
Ba 2.214 3.797 6.102
Ba 5.934 1.266 4.184
Ba 6.288 3.797 9.327
Br 1.128 1.266 4.197
Br 2.946 3.797 9.340
Br 5.202 1.266 0.946
Br 7.020 3.797 6.089
Cl 0.025 3.797 1.518
Cl 4.049 1.266 6.661
Cl 4.099 3.797 3.625
Cl 8.123 1.266 8.769
```

The 12 most intense peaks (10° ≤ 2θ ≤ 90°), sorted by position:
2θ (°)	intensity
19.5	53
21.8	28
22.4	30
27.0	29
28.1	38
29.5	58
31.5	83
34.9	25
35.5	48
37.4	29
38.6	100
65.8	28

=====

Entry 3:
For AlH6IO4, a crystal structure in the Materials Project, relaxed with GGA-PBE gives the calculated XRD peak list in this record (Cu Ka).
Peak positions follow from Bragg's law for the DFT cell and can differ from measured ones.

Structural model:
```
24
Lattice="4.807 -7.027 0.000 4.807 7.027 0.000 -2.889 0.000 4.408" Properties=species:S:1:pos:R:3 pbc="T T T"
Al 2.641 6.368 3.306
Al 4.085 -6.368 1.102
H 1.534 1.953 1.227
H 1.445 4.055 3.753
H -0.192 1.005 3.606
H 1.253 -1.005 1.402
H 3.837 4.055 2.858
H 0.089 -1.953 3.431
H 6.637 1.953 0.977
H 2.889 -4.055 1.549
H 5.473 1.005 3.006
H 6.918 -1.005 0.802
H 5.281 -4.055 0.655
H 5.192 -1.953 3.181
I 4.085 2.222 1.102
I 2.641 -2.222 3.306
O 1.352 4.855 3.177
O -0.727 0.505 2.959
O 0.717 -0.505 0.755
O 3.930 4.855 3.435
O 2.796 -4.855 0.973
O 6.009 0.505 3.653
O 7.453 -0.505 1.449
O 5.374 -4.855 1.231
```

The 12 most intense peaks (10° ≤ 2θ ≤ 90°), sorted by position:
2θ (°)	intensity
18.0	27
22.0	56
22.1	28
23.8	100
28.6	32
32.6	18
34.0	14
38.7	15
39.9	16
40.9	33
42.8	31
52.5	18

=====

Entry 4:
For RbCd6C12ClO26, a crystal structure in the Materials Project, relaxed with GGA-PBE gives the calculated XRD peak list in this record (Cu Ka).
Peak positions follow from Bragg's law for the DFT cell and can differ from measured ones.

Structural model:
```
46
Lattice="4.781 2.760 8.101 -4.781 2.760 8.101 0.000 -5.520 8.101" Properties=species:S:1:pos:R:3 pbc="T T T"
Rb 0.000 0.000 0.000
Cd -0.617 -2.324 10.447
Cd -2.321 -0.627 13.855
Cd -1.704 1.696 10.447
Cd 1.704 -1.696 13.855
Cd 2.321 0.627 10.447
Cd 0.617 2.324 13.855
C -2.588 -3.539 12.609
C -2.499 -0.679 8.426
C -4.359 0.472 11.694
C 1.771 -4.011 11.694
C 1.838 -1.825 8.426
C -0.662 -2.504 15.876
C 0.662 2.504 8.426
C -1.838 1.825 15.876
C -1.771 4.011 12.609
C 4.359 -0.472 12.609
C 2.499 0.679 15.876
C 2.588 3.539 11.694
Cl 0.000 0.000 12.151
O -1.520 -4.519 10.663
O -1.503 -2.887 8.331
O -4.674 -0.943 13.640
O -2.181 -2.382 12.232
O -1.852 -0.459 9.511
O -3.153 0.697 12.070
O 0.000 0.000 6.249
O -3.252 -0.142 15.971
O -3.154 3.576 10.663
O -1.749 2.745 8.331
O 0.973 -3.079 12.070
O -0.529 -1.833 14.792
O 1.323 -1.374 9.511
O -1.323 1.374 14.792
O 0.529 1.833 9.511
O -0.973 3.079 12.232
O 1.749 -2.745 15.971
O 3.154 -3.576 13.640
O 3.252 0.142 8.331
O 0.000 0.000 18.054
O 3.153 -0.697 12.232
O 1.852 0.459 14.792
O 2.181 2.382 12.070
O 4.674 0.943 10.663
O 1.503 2.887 15.971
O 1.520 4.519 13.640
```

The 12 most intense peaks (10° ≤ 2θ ≤ 90°), sorted by position:
2θ (°)	intensity
12.9	90
18.6	21
21.6	61
26.0	100
28.8	33
34.1	58
34.3	22
36.7	21
39.5	49
47.4	24
47.5	21
50.5	28

=====

Entry 5:
For Ba4AlIr2O10, a crystal structure in the Materials Project, relaxed with GGA-PBE gives the calculated XRD peak list in this record (Cu Ka).
Peak positions follow from Bragg's law for the DFT cell and can differ from measured ones.

Structural model:
```
34
Lattice="2.896 -6.739 0.000 2.896 6.739 0.000 0.000 0.000 13.306" Properties=species:S:1:pos:R:3 pbc="T T T"
Ba 2.896 6.614 6.653
Ba 2.896 3.808 3.472
Ba 2.896 2.911 12.998
Ba 2.896 0.173 9.686
Ba 2.896 -0.173 3.033
Ba 2.896 -2.911 6.344
Ba 2.896 -3.808 10.125
Ba 2.896 -6.614 0.000
Al 2.896 1.474 6.158
Al 2.896 -1.474 12.811
Ir 2.896 5.060 10.244
Ir 2.896 3.369 8.136
Ir 2.896 -3.369 1.483
Ir 2.896 -5.060 3.591
O 2.896 6.467 3.586
O 1.318 1.900 2.067
O 1.476 1.717 4.921
O 1.626 1.899 7.634
O 2.896 3.820 6.190
O 2.896 2.964 10.168
O 1.318 -1.900 8.720
O 1.476 -1.717 11.574
O 1.626 -1.899 0.981
O 2.896 0.318 12.812
O 2.896 -0.318 6.159
O 4.167 1.899 7.634
O 4.317 1.717 4.921
O 4.475 1.900 2.067
O 2.896 -2.964 3.515
O 2.896 -3.820 12.844
O 4.167 -1.899 0.981
O 4.317 -1.717 11.574
O 4.475 -1.900 8.720
O 2.896 -6.467 10.239
```

The 12 most intense peaks (10° ≤ 2θ ≤ 90°), sorted by position:
2θ (°)	intensity
18.0	37
26.2	29
26.8	26
28.5	100
30.9	66
32.3	78
40.7	30
41.1	22
41.3	26
51.9	32
53.4	26
55.8	24

=====

Entry 6:
For Li2ZnSiO4, a crystal structure in the Materials Project, relaxed with GGA-PBE gives the calculated XRD peak list in this record (Cu Ka).
Peak positions follow from Bragg's law for the DFT cell and can differ from measured ones.

Structural model:
```
32
Lattice="5.108 0.000 0.000 0.000 10.735 0.000 -5.042 0.000 6.323" Properties=species:S:1:pos:R:3 pbc="T T T"
Li -1.016 0.808 1.518
Li -3.537 4.560 4.680
Li -4.064 1.752 6.282
Li -1.543 3.616 3.120
Li 1.609 7.119 3.203
Li 4.130 8.984 0.041
Li 3.602 6.176 1.643
Li 1.081 9.927 4.805
Zn 1.574 7.133 0.009
Zn -0.947 8.970 3.171
Zn 1.013 1.765 3.153
Zn -1.508 3.602 6.315
Si -1.535 0.945 4.718
Si 0.986 4.422 1.557
Si -0.920 6.313 4.767
Si 1.601 9.790 1.605
O -3.195 0.960 4.715
O -0.674 4.408 1.554
O -1.478 7.090 3.411
O 1.043 9.013 0.250
O -1.006 1.721 3.355
O 1.516 3.647 0.193
O 1.044 0.605 1.542
O -1.478 4.763 4.703
O 1.543 5.973 1.620
O -0.978 10.130 4.782
O -1.450 7.089 6.130
O 1.071 9.014 2.969
O -0.978 1.722 6.074
O 1.543 3.645 2.912
O 0.739 6.328 4.770
O 3.260 9.775 1.608
```

The 12 most intense peaks (10° ≤ 2θ ≤ 90°), sorted by position:
2θ (°)	intensity
16.3	57
21.7	30
22.3	39
23.8	32
24.0	100
28.7	57
32.9	65
33.4	35
35.1	58
41.9	20
58.4	20
59.3	36